[1]
For Na3CrRe, a DFT-relaxed cell (PBE, Alexandria) gives the simulated powder XRD pattern in this record (Cu Kα, 1.54184 Å).

Top 8 peaks for 2θ from 15° to 90°, by angle:
2theta, I/Imax
15.93, 25
22.60, 100
27.77, 36
32.17, 44
39.67, 46
46.14, 32
51.97, 21
62.45, 24

Structural model:
```
data_Na3CrRe
_space_group_name_H-M_alt 'P m -3 m'
_space_group_IT_number 221
_space_group_name_Hall '-P 4 2 3'
_cell_length_a 5.565
_cell_length_b 5.565
_cell_length_c 5.565
_cell_angle_alpha 90.00
_cell_angle_beta 90.00
_cell_angle_gamma 90.00
loop_
_atom_site_label
_atom_site_fract_x
_atom_site_fract_y
_atom_site_fract_z
Na1 0.000 0.000 0.500
Cr1 0.000 0.000 0.000
Re1 0.500 0.500 0.500
```


[2]
For Na2CrS4, a DFT-relaxed cell (PBE, Alexandria) gives the simulated powder XRD pattern in this record (Cu Kα, 1.54184 Å).

Top 8 peaks for 2θ from 15° to 90°, by angle:
2theta, I/Imax
15.33, 54
17.81, 64
18.89, 100
25.16, 42
27.47, 40
30.95, 58
36.26, 70
39.77, 34

Structural model:
```
data_Na2CrS4
_space_group_name_H-M_alt 'P n m a'
_space_group_IT_number 62
_cell_length_a 8.072
_cell_length_b 6.494
_cell_length_c 12.662
_cell_angle_alpha 90.00
_cell_angle_beta 90.00
_cell_angle_gamma 90.00
loop_
_space_group_symop_operation_xyz
'x,y,z'
'-x,-y,-z'
'-x+1/2,-y,z+1/2'
'x+1/2,y,-z+1/2'
'x+1/2,-y+1/2,-z+1/2'
'-x+1/2,y+1/2,z+1/2'
'-x,y+1/2,-z'
'x,-y+1/2,z'
loop_
_atom_site_label
_atom_site_fract_x
_atom_site_fract_y
_atom_site_fract_z
Na1 0.020 0.250 0.141
Na2 0.106 0.250 0.631
Cr1 0.211 0.250 0.891
S1 0.043 0.750 0.083
S2 0.153 0.750 0.532
S3 0.223 0.004 0.300
```


[3]
For NaCr2S4, a DFT-relaxed cell (PBE, Alexandria) gives the simulated powder XRD pattern in this record (Cu Kα, 1.54184 Å).

Top 8 peaks for 2θ from 15° to 90°, by angle:
2theta, I/Imax
32.65, 81
33.19, 39
39.93, 100
40.49, 47
50.31, 41
52.80, 21
53.66, 40
62.47, 29

Structural model:
```
data_NaCr2S4
_space_group_name_H-M_alt 'P 1 2/m 1'
_space_group_IT_number 10
_cell_length_a 5.889
_cell_length_b 3.468
_cell_length_c 6.867
_cell_angle_alpha 90.00
_cell_angle_beta 90.38
_cell_angle_gamma 90.00
loop_
_space_group_symop_operation_xyz
'x,y,z'
'-x,-y,-z'
'-x,y,-z'
'x,-y,z'
loop_
_atom_site_label
_atom_site_fract_x
_atom_site_fract_y
_atom_site_fract_z
Na1 0.000 0.000 0.000
Cr1 0.000 0.000 0.500
Cr2 0.500 0.500 0.500
S1 0.163 0.500 0.306
S2 0.338 0.000 0.692
```


[4]
For Na2Cr3S6, a DFT-relaxed cell (PBE, Alexandria) gives the simulated powder XRD pattern in this record (Cu Kα, 1.54184 Å).

Top 8 peaks for 2θ from 15° to 90°, by angle:
2theta, I/Imax
34.61, 100
34.72, 50
43.42, 21
46.79, 14
47.19, 28
52.38, 30
52.58, 15
64.56, 14

Structural model:
```
data_Na2Cr3S6
_space_group_name_H-M_alt 'C 1 2/m 1'
_space_group_IT_number 12
_cell_length_a 6.059
_cell_length_b 10.443
_cell_length_c 6.976
_cell_angle_alpha 90.00
_cell_angle_beta 106.32
_cell_angle_gamma 90.00
loop_
_space_group_symop_operation_xyz
'x,y,z'
'-x,-y,-z'
'-x,y,-z'
'x,-y,z'
'x+1/2,y+1/2,z'
'-x+1/2,-y+1/2,-z'
'-x+1/2,y+1/2,-z'
'x+1/2,-y+1/2,z'
loop_
_atom_site_label
_atom_site_fract_x
_atom_site_fract_y
_atom_site_fract_z
Na1 0.000 0.169 0.000
Cr1 0.000 0.000 0.500
Cr2 0.000 0.337 0.500
S1 0.229 0.167 0.693
S2 0.233 0.500 0.699
```